Dy2Al9Pd3: simulated powder XRD pattern (λ = 1.5418 Å (Cu Kα)), based on DFT lattice parameters and positions (PBE).
Neutral-atom scattering factors, no anomalous dispersion.

Main lines, sorted by position (15 to 90 degrees two-theta):
- 16.27 deg, d 5.449, I = 20
- 25.07 deg, d 3.552, I = 35
- 29.95 deg, d 2.983, I = 100
- 36.83 deg, d 2.440, I = 66
- 37.94 deg, d 2.372, I = 27
- 40.67 deg, d 2.218, I = 64
- 40.86 deg, d 2.208, I = 29
- 51.45 deg, d 1.776, I = 20
- 56.83 deg, d 1.620, I = 25
- 63.65 deg, d 1.462, I = 19

Atomic structure:
abc: 7.6620 7.6620 9.4866
angles: 90.00 90.00 60.31
Sites, in units of the cell vectors:
Dy 0.0057 0.6695 0.7500
Dy 0.3305 0.9943 0.7500
Dy 0.6695 0.0057 0.2500
Dy 0.9943 0.3305 0.2500
Al 0.9999 0.3342 0.5767
Al 0.9999 0.3342 0.9233
Al 0.0001 0.6658 0.0767
Al 0.0001 0.6658 0.4233
Al 0.1277 0.8723 0.2500
Al 0.3342 0.9999 0.0767
Al 0.3342 0.9999 0.4233
Al 0.3337 0.6663 0.5599
Al 0.3337 0.6663 0.9401
Al 0.3372 0.4541 0.2500
Al 0.4541 0.3372 0.7500
Al 0.5459 0.6628 0.2500
Al 0.6628 0.5459 0.7500
Al 0.6658 0.0001 0.5767
Al 0.6658 0.0001 0.9233
Al 0.6663 0.3337 0.0599
Al 0.6663 0.3337 0.4401
Al 0.8723 0.1277 0.7500
Pd 0.0000 0.0000 0.0000
Pd 0.0000 0.0000 0.5000
Pd 0.3287 0.3287 0.0000
Pd 0.3287 0.3287 0.5000
Pd 0.6713 0.6713 0.0000
Pd 0.6713 0.6713 0.5000

LiCuPO4: simulated powder XRD pattern (λ = 1.5418 Å (Cu Kα)), based on DFT lattice parameters and positions (PBE).
Neutral-atom scattering factors, no anomalous dispersion.

Main lines, sorted by position (15 to 90 degrees two-theta):
- 19.97 deg, d 4.446, I = 37
- 20.11 deg, d 4.416, I = 100
- 22.01 deg, d 4.038, I = 59
- 22.52 deg, d 3.948, I = 100
- 22.96 deg, d 3.874, I = 65
- 35.04 deg, d 2.561, I = 62
- 39.80 deg, d 2.265, I = 38
- 40.83 deg, d 2.210, I = 35
- 41.74 deg, d 2.164, I = 29
- 62.37 deg, d 1.489, I = 27

Atomic structure:
abc: 5.1314 5.1314 7.9538
angles: 93.44 93.44 120.07
Sites, in units of the cell vectors:
Li 0.0971 0.9029 0.5000
Li 0.9029 0.0971 0.0000
Cu 0.3439 0.6749 0.1747
Cu 0.6749 0.3439 0.6747
P 0.2994 0.5772 0.7834
P 0.5772 0.2994 0.2834
O 0.0857 0.5988 0.6439
O 0.1286 0.5258 0.9473
O 0.2749 0.3008 0.2381
O 0.3008 0.2749 0.7381
O 0.5258 0.1286 0.4473
O 0.5988 0.0857 0.1439
O 0.6153 0.8551 0.7998
O 0.8551 0.6153 0.2998

Gd2TiO5: simulated powder XRD pattern (λ = 1.5418 Å (Cu Kα)), based on DFT lattice parameters and positions (PBE).
Neutral-atom scattering factors, no anomalous dispersion.

Main lines, sorted by position (15 to 90 degrees two-theta):
- 15.63 deg, d 5.671, I = 45
- 25.97 deg, d 3.431, I = 32
- 28.27 deg, d 3.157, I = 46
- 28.76 deg, d 3.105, I = 71
- 28.88 deg, d 3.092, I = 44
- 30.29 deg, d 2.951, I = 45
- 30.89 deg, d 2.895, I = 100
- 32.47 deg, d 2.757, I = 56
- 46.88 deg, d 1.938, I = 49
- 51.11 deg, d 1.787, I = 29

Atomic structure:
abc: 9.5800 7.1488 6.9197
angles: 90.00 103.53 90.00
Sites, in units of the cell vectors:
Gd 0.0292 0.1267 0.2303
Gd 0.0292 0.3733 0.7303
Gd 0.3606 0.1399 0.0303
Gd 0.3606 0.3601 0.5303
Gd 0.6394 0.6399 0.4697
Gd 0.6394 0.8601 0.9697
Gd 0.9708 0.6267 0.2697
Gd 0.9708 0.8733 0.7697
Ti 0.2991 0.5949 0.0200
Ti 0.2991 0.9051 0.5200
Ti 0.7009 0.0949 0.4800
Ti 0.7009 0.4051 0.9800
O 0.1041 0.6389 0.9870
O 0.1041 0.8611 0.4870
O 0.1094 0.1143 0.9285
O 0.1094 0.3857 0.4285
O 0.2808 0.0812 0.3183
O 0.2808 0.4188 0.8183
O 0.3841 0.0713 0.7104
O 0.3841 0.4287 0.2104
O 0.3961 0.6947 0.4889
O 0.3961 0.8053 0.9889
O 0.6039 0.1947 0.0111
O 0.6039 0.3053 0.5111
O 0.6159 0.5713 0.7896
O 0.6159 0.9287 0.2896
O 0.7192 0.5812 0.1817
O 0.7192 0.9188 0.6817
O 0.8906 0.6143 0.5715
O 0.8906 0.8857 0.0715
O 0.8959 0.1389 0.5130
O 0.8959 0.3611 0.0130

LaErAl4: simulated powder XRD pattern (λ = 1.5418 Å (Cu Kα)), based on DFT lattice parameters and positions (PBE).
Neutral-atom scattering factors, no anomalous dispersion.

Main lines, sorted by position (15 to 90 degrees two-theta):
- 19.23 deg, d 4.615, I = 61
- 31.66 deg, d 2.826, I = 99
- 37.31 deg, d 2.410, I = 100
- 49.72 deg, d 1.834, I = 16
- 56.39 deg, d 1.632, I = 38
- 60.15 deg, d 1.538, I = 33
- 66.13 deg, d 1.413, I = 22
- 69.58 deg, d 1.351, I = 12
- 75.17 deg, d 1.264, I = 16
- 78.46 deg, d 1.219, I = 11

Atomic structure:
abc: 5.6523 5.6523 5.6523
angles: 60.00 60.00 60.00
Sites, in units of the cell vectors:
La 0.0000 0.0000 0.0000
Er 0.7500 0.7500 0.7500
Al 0.3751 0.3751 0.3751
Al 0.3751 0.3751 0.8748
Al 0.3751 0.8748 0.3751
Al 0.8748 0.3751 0.3751

RbAsOF4: simulated powder XRD pattern (λ = 1.5418 Å (Cu Kα)), based on DFT lattice parameters and positions (PBE).
Neutral-atom scattering factors, no anomalous dispersion.

Main lines, sorted by position (15 to 90 degrees two-theta):
- 17.09 deg, d 5.190, I = 20
- 21.75 deg, d 4.087, I = 100
- 22.80 deg, d 3.899, I = 64
- 24.40 deg, d 3.649, I = 29
- 25.13 deg, d 3.543, I = 31
- 29.14 deg, d 3.065, I = 19
- 29.93 deg, d 2.986, I = 27
- 36.16 deg, d 2.484, I = 20
- 42.02 deg, d 2.150, I = 46
- 42.32 deg, d 2.136, I = 27

Atomic structure:
abc: 5.5029 6.1082 15.0271
angles: 90.00 109.42 90.00
Sites, in units of the cell vectors:
Rb 0.1506 0.1268 0.1490
Rb 0.1506 0.3732 0.6490
Rb 0.8494 0.6268 0.3510
Rb 0.8494 0.8732 0.8510
As 0.4801 0.1134 0.4202
As 0.4801 0.3866 0.9202
As 0.5199 0.6134 0.0798
As 0.5199 0.8866 0.5798
O 0.3205 0.1068 0.5092
O 0.3205 0.3932 0.0092
O 0.6795 0.6068 0.9908
O 0.6795 0.8932 0.4908
F 0.2551 0.5775 0.8421
F 0.2551 0.9225 0.3421
F 0.2748 0.1741 0.8531
F 0.2748 0.3259 0.3531
F 0.2966 0.6733 0.5218
F 0.2966 0.8267 0.0218
F 0.3527 0.6035 0.1644
F 0.3527 0.8965 0.6644
F 0.6473 0.1035 0.3356
F 0.6473 0.3965 0.8356
F 0.7034 0.1733 0.9782
F 0.7034 0.3267 0.4782
F 0.7252 0.6741 0.6469
F 0.7252 0.8259 0.1469
F 0.7449 0.0775 0.6579
F 0.7449 0.4225 0.1579

Bi4PbS7: simulated powder XRD pattern (λ = 1.5418 Å (Cu Kα)), based on DFT lattice parameters and positions (PBE).
Neutral-atom scattering factors, no anomalous dispersion.

Main lines, sorted by position (15 to 90 degrees two-theta):
- 22.62 deg, d 3.930, I = 100
- 23.11 deg, d 3.849, I = 84
- 24.66 deg, d 3.610, I = 50
- 26.45 deg, d 3.370, I = 42
- 26.66 deg, d 3.344, I = 46
- 29.83 deg, d 2.995, I = 75
- 31.35 deg, d 2.853, I = 48
- 32.39 deg, d 2.764, I = 48
- 39.42 deg, d 2.286, I = 50
- 44.46 deg, d 2.038, I = 39

Atomic structure:
abc: 6.9910 6.9910 12.3430
angles: 103.82 103.82 33.79
Sites, in units of the cell vectors:
Bi 0.0000 0.0000 0.0000
Bi 0.5615 0.5615 0.3988
Bi 0.6861 0.6861 0.8292
Bi 0.8030 0.8030 0.2628
Pb 0.3619 0.3619 0.6465
S 0.0316 0.0316 0.7942
S 0.1683 0.1683 0.3137
S 0.3413 0.3413 0.8798
S 0.4162 0.4162 0.1924
S 0.6414 0.6414 0.0447
S 0.7094 0.7094 0.6144
S 0.9398 0.9398 0.4658

YP2O2: simulated powder XRD pattern (λ = 1.5418 Å (Cu Kα)), based on DFT lattice parameters and positions (PBE).
Neutral-atom scattering factors, no anomalous dispersion.

Main lines, sorted by position (15 to 90 degrees two-theta):
- 16.65 deg, d 5.324, I = 37
- 21.73 deg, d 4.090, I = 52
- 22.48 deg, d 3.955, I = 64
- 23.63 deg, d 3.765, I = 80
- 27.93 deg, d 3.194, I = 41
- 31.08 deg, d 2.877, I = 93
- 33.67 deg, d 2.662, I = 38
- 35.46 deg, d 2.531, I = 63
- 40.43 deg, d 2.231, I = 100
- 58.12 deg, d 1.587, I = 42

Atomic structure:
abc: 9.8744 9.8744 9.8744
angles: 114.75 114.75 99.37
Sites, in units of the cell vectors:
Y 0.0000 0.0000 0.0000
Y 0.0000 0.0000 0.5000
Y 0.0000 0.5000 0.0000
Y 0.5000 0.0000 0.5000
P 0.0905 0.7340 0.3564
P 0.1224 0.2660 0.8564
P 0.2660 0.1224 0.3564
P 0.2660 0.9095 0.1436
P 0.7340 0.0905 0.8564
P 0.7340 0.8776 0.6436
P 0.8776 0.7340 0.1436
P 0.9095 0.2660 0.6436
O 0.1022 0.1619 0.9403
O 0.1619 0.1022 0.4403
O 0.1619 0.7216 0.0597
O 0.2784 0.8381 0.4403
O 0.7216 0.1619 0.5597
O 0.8381 0.2784 0.9403
O 0.8381 0.8978 0.5597
O 0.8978 0.8381 0.0597

> What is the formula in the second record?

LiCuPO4